Starting from a DFT-relaxed cell (GGA+U, Alexandria), the powder XRD pattern of Sr4Al6CrO16 was simulated for λ = 1.5418 Å (Cu Kα).

Principal peaks in the range 2θ from 10° to 90°, in order of rising 2θ:
| two_theta | d [Å] | Rel. int. |
| --- | --- | --- |
| 18.7 | 4.747 | 43 |
| 22.7 | 3.916 | 43 |
| 22.9 | 3.886 | 87 |
| 26.4 | 3.382 | 94 |
| 26.6 | 3.356 | 39 |
| 32.5 | 2.755 | 100 |
| 37.9 | 2.373 | 54 |
| 42.6 | 2.123 | 27 |
| 46.4 | 1.958 | 33 |
| 46.8 | 1.943 | 56 |
| 54.2 | 1.691 | 33 |
| 65.1 | 1.433 | 34 |

Structure:
Cell lengths 8.264, 8.264, 8.264 Å; angles 109.89, 109.89, 108.63 degrees
Element x y z (fractional)
Sr  0.243  0.243  0.487
Sr  0.243  0.757  0.000
Sr  0.757  0.243  0.000
Sr  0.757  0.757  0.513
Al  0.000  0.000  0.000
Al  0.005  0.253  0.751
Al  0.500  0.500  0.000
Al  0.502  0.253  0.249
Al  0.747  0.498  0.751
Al  0.747  0.995  0.249
Cr  0.250  0.750  0.500
O  0.149  0.505  0.357
O  0.149  0.792  0.643
O  0.208  0.851  0.357
O  0.251  0.415  0.836
O  0.252  0.097  0.155
O  0.495  0.851  0.643
O  0.578  0.415  0.164
O  0.585  0.422  0.836
O  0.585  0.749  0.164
O  0.589  0.089  0.178
O  0.589  0.411  0.500
O  0.903  0.059  0.155
O  0.903  0.748  0.845
O  0.911  0.089  0.500
O  0.911  0.411  0.822
O  0.941  0.097  0.845